1.
Starting from a PBE-relaxed structure, the PXRD pattern of Li7TlIn2 was computed for Cu Kα X-rays.

abc: 4.7244 4.7244 10.1768
angles: 90.00 90.00 120.00
Space group P3m1 (No. 156)
Symmetry-distinct sites (fractional):
Li: 0.0000 0.0000 0.0000
Li: 0.0000 0.0000 0.2397
Li: 0.0000 0.0000 0.7593
Li: 0.3333 0.6667 0.3843
Li: 0.3333 0.6667 0.6917
Li: 0.6667 0.3333 0.2007
Li: 0.6667 0.3333 0.5670
Tl: 0.6667 0.3333 0.8818
In: 0.0000 0.0000 0.4994
In: 0.3333 0.6667 0.0803

Most intense lines, 15° ≤ 2θ ≤ 90°, low angle first:
Position (°2θ)	Rel. int.
17.4	17.6
23.4	100.0
28.0	55.7
34.3	37.2
38.1	37.9
41.8	25.3
42.2	11.4
45.2	17.6
47.9	12.9
60.0	14.7
60.6	14.6
62.8	11.4

2.
Starting from a PBE-relaxed structure, the PXRD pattern of SrSnH8Rh2 was computed for Cu Kα X-rays.

abc: 4.7443 4.7443 17.8374
angles: 90.00 90.00 120.00
Space group R-3m (No. 166, hexagonal axes)
Symmetry-distinct sites (fractional):
Sr: 0.0000 0.0000 0.0000
Sn: 0.0000 0.0000 0.5000
H: 0.0000 0.0000 0.3128
H: 0.0234 0.5117 0.0700
Rh: 0.0000 0.0000 0.2211

Most intense lines, 15° ≤ 2θ ≤ 90°, low angle first:
Position (°2θ)	Rel. int.
29.6	100.0
33.3	9.7
37.9	67.2
41.0	12.3
41.7	15.7
46.3	11.8
48.8	24.7
56.2	8.4
63.4	22.8
68.5	11.8
81.1	7.6
88.6	9.5

3.
Starting from a PBE-relaxed structure, the PXRD pattern of Tl7In12Bi was computed for Cu Kα X-rays.

abc: 6.983 9.282 10.328
angles: 99.23 108.97 107.85
Space group P-1 (No. 2)
Symmetry-distinct sites (fractional):
Tl: 0.000 0.000 0.000
Tl: 0.031 0.792 0.692
Tl: 0.102 0.606 0.400
Tl: 0.197 0.198 0.791
In: 0.147 0.404 0.090
In: 0.268 0.014 0.504
In: 0.300 0.799 0.198
In: 0.353 0.604 0.901
In: 0.425 0.418 0.613
In: 0.453 0.197 0.298
Bi: 0.500 0.000 0.000

Most intense lines, 15° ≤ 2θ ≤ 90°, low angle first:
Position (°2θ)	Rel. int.
31.5	100.0
31.9	100.0
32.0	97.3
32.4	92.2
34.7	78.6
36.8	65.8
39.5	54.0
50.9	26.3
52.0	24.7
52.9	22.8
55.1	39.3
66.6	22.3

4.
Starting from a PBE-relaxed structure, the PXRD pattern of HfZr2Sc12 was computed for Cu Kα X-rays.

abc: 7.788 7.788 12.022
angles: 90.00 90.00 90.00
Space group P4/nbm (No. 125, origin choice 2)
Symmetry-distinct sites (fractional):
Hf: 0.250 0.750 0.000
Zr: 0.250 0.750 0.247
Sc: 0.007 0.507 0.161
Sc: 0.091 0.591 0.423
Sc: 0.250 0.250 0.102
Sc: 0.250 0.250 0.356

Most intense lines, 15° ≤ 2θ ≤ 90°, low angle first:
Position (°2θ)	Rel. int.
16.1	52.0
22.8	35.8
24.0	20.8
32.0	60.2
32.5	100.0
33.4	22.8
34.0	77.7
37.3	29.6
37.8	27.9
46.7	22.4
47.7	70.6
57.7	21.0

5.
Starting from a PBE-relaxed structure, the PXRD pattern of Ce3NdNi8 was computed for Cu Kα X-rays.

abc: 5.1094 5.1094 25.0085
angles: 90.00 90.00 120.00
Space group R3m (No. 160, hexagonal axes)
Symmetry-distinct sites (fractional):
Ce: 0.0000 0.0000 0.0000
Ce: 0.0000 0.0000 0.1227
Ce: 0.0000 0.0000 0.6312
Nd: 0.0000 0.0000 0.5047
Ni: 0.0000 0.0000 0.3154
Ni: 0.0000 0.0000 0.8151
Ni: 0.0006 0.5003 0.0651
Ni: 0.1677 0.3355 0.8989

Most intense lines, 15° ≤ 2θ ≤ 90°, low angle first:
Position (°2θ)	Rel. int.
21.3	7.7
35.1	57.8
41.5	100.0
43.4	18.4
55.4	1.9
63.0	20.4
67.0	1.1
67.4	29.7
74.3	22.2
78.3	1.5
84.9	8.7
88.8	10.5

6.
Starting from a PBE-relaxed structure, the PXRD pattern of CaNdCoN2 was computed for Cu Kα X-rays.

abc: 5.043 5.374 6.754
angles: 90.00 90.00 90.00
Space group Pccm (No. 49)
Symmetry-distinct sites (fractional):
Ca: 0.000 0.000 0.250
Nd: 0.500 0.500 0.250
Co: 0.500 0.000 0.000
N: 0.266 0.252 0.000

Most intense lines, 15° ≤ 2θ ≤ 90°, low angle first:
Position (°2θ)	Rel. int.
17.6	67.6
24.2	35.6
31.3	31.9
33.3	24.6
35.6	20.8
36.1	100.0
37.9	18.5
48.1	19.5
49.6	23.5
54.3	12.7
61.4	20.2
64.3	17.5

7.
Starting from a PBE-relaxed structure, the PXRD pattern of La3Nd7Sm was computed for Cu Kα X-rays.

abc: 11.960 10.359 6.558
angles: 90.00 94.86 90.00
Space group C2/m (No. 12)
Symmetry-distinct sites (fractional):
La: 0.000 0.000 0.000
La: 0.000 0.175 0.500
Nd: 0.000 0.500 0.500
Nd: 0.238 0.000 0.713
Nd: 0.243 0.327 0.762
Sm: 0.000 0.500 0.000

Most intense lines, 15° ≤ 2θ ≤ 90°, low angle first:
Position (°2θ)	Rel. int.
30.0	94.0
30.1	78.9
30.5	100.0
32.4	69.0
36.4	64.9
49.4	24.4
49.5	23.5
51.8	16.8
53.0	20.1
61.3	25.2
62.2	38.6
63.5	17.4

8.
Starting from a PBE-relaxed structure, the PXRD pattern of Li2DyCd2Ag2 was computed for Cu Kα X-rays.

abc: 8.336 4.805 7.580
angles: 90.00 111.21 90.00
Space group C2/m (No. 12)
Symmetry-distinct sites (fractional):
Li: 0.151 0.000 0.453
Dy: 0.000 0.000 0.000
Cd: 0.073 0.500 0.717
Ag: 0.225 0.500 0.177

Most intense lines, 15° ≤ 2θ ≤ 90°, low angle first:
Position (°2θ)	Rel. int.
25.2	7.8
27.2	46.5
36.7	64.6
36.8	31.8
37.4	100.0
39.6	12.5
53.2	10.8
53.5	21.0
65.7	10.6
66.9	10.6
67.1	20.7
67.5	16.7

9.
Starting from a PBE-relaxed structure, the PXRD pattern of AlTl2Se3 was computed for Cu Kα X-rays.

abc: 12.513 7.653 7.200
angles: 90.00 100.66 90.00
Space group C2/c (No. 15)
Symmetry-distinct sites (fractional):
Al: 0.000 0.076 0.250
Tl: 0.163 0.347 0.649
Se: 0.000 0.389 0.250
Se: 0.132 0.066 0.989

Most intense lines, 15° ≤ 2θ ≤ 90°, low angle first:
Position (°2θ)	Rel. int.
19.4	32.0
25.8	41.5
26.5	23.7
29.1	100.0
29.5	40.7
29.9	43.1
31.4	24.1
34.9	26.1
39.3	28.7
41.5	23.5
41.7	18.6
45.2	21.2

10.
Starting from a PBE-relaxed structure, the PXRD pattern of Dy2Ho2ErTm was computed for Cu Kα X-rays.

abc: 6.918 5.554 9.568
angles: 90.00 90.00 90.00
Space group Pmma (No. 51)
Symmetry-distinct sites (fractional):
Dy: 0.000 0.000 0.000
Dy: 0.250 0.500 0.176
Ho: 0.250 0.000 0.326
Ho: 0.250 0.500 0.840
Er: 0.250 0.000 0.658
Tm: 0.000 0.500 0.500

Most intense lines, 15° ≤ 2θ ≤ 90°, low angle first:
Position (°2θ)	Rel. int.
31.9	100.0
32.2	36.5
32.4	71.0
46.0	24.4
46.1	11.7
52.9	9.1
57.3	12.7
57.4	24.7
57.6	13.9
63.4	31.3
67.8	8.1
82.0	10.2

11.
Starting from a PBE-relaxed structure, the PXRD pattern of LiAg2SO6 was computed for Cu Kα X-rays.

abc: 5.5133 5.5133 5.3137
angles: 90.00 90.00 120.00
Space group P-3m1 (No. 164)
Symmetry-distinct sites (fractional):
Li: 0.0000 0.0000 0.0000
Ag: 0.3333 0.6667 0.5542
S: 0.0000 0.0000 0.5000
O: 0.1387 0.2773 0.3134

Most intense lines, 15° ≤ 2θ ≤ 90°, low angle first:
Position (°2θ)	Rel. int.
16.7	100.0
25.1	16.6
32.5	40.7
36.7	54.0
38.8	15.5
41.5	19.0
47.5	24.4
51.5	11.0
55.3	9.8
60.7	11.5
68.8	8.3
70.6	9.1

Q: Number 7 is which compound?
A: La3Nd7Sm